(1)
LaMg2H7Pd: calculated powder diffractogram (Cu Kα X-rays), based on a cell relaxed with GGA-PBE.
Intensities are scaled so that the largest is 100.

Cell: 4.766 8.111 11.754 Å, 90.00 90.00 90.00°
Fractional coordinates of all 44 atoms:
La 0.001 0.051 0.219
La 0.499 0.949 0.719
La 0.501 0.449 0.781
La 0.999 0.551 0.281
Mg 0.002 0.774 0.898
Mg 0.016 0.159 0.899
Mg 0.484 0.841 0.399
Mg 0.498 0.226 0.398
Mg 0.502 0.726 0.102
Mg 0.516 0.341 0.101
Mg 0.984 0.659 0.601
Mg 0.998 0.274 0.602
H 0.023 0.969 0.801
H 0.032 0.825 0.390
H 0.034 0.900 0.631
H 0.097 0.159 0.447
H 0.113 0.485 0.482
H 0.224 0.786 0.213
H 0.247 0.706 0.767
H 0.253 0.294 0.267
H 0.276 0.214 0.713
H 0.387 0.515 0.982
H 0.403 0.841 0.947
H 0.466 0.100 0.131
H 0.468 0.175 0.890
H 0.477 0.031 0.301
H 0.523 0.531 0.199
H 0.532 0.675 0.610
H 0.534 0.600 0.369
H 0.597 0.341 0.553
H 0.613 0.015 0.518
H 0.724 0.714 0.787
H 0.747 0.794 0.233
H 0.753 0.206 0.733
H 0.776 0.286 0.287
H 0.887 0.985 0.018
H 0.903 0.659 0.053
H 0.966 0.400 0.869
H 0.968 0.325 0.110
H 0.977 0.469 0.699
Pd 0.030 0.472 0.005
Pd 0.470 0.528 0.505
Pd 0.530 0.028 0.995
Pd 0.970 0.972 0.495

Peak list (10 most intense, 2θ from 5° to 70°, by angle)
2θ (°)  Rel. int.  index
20.10  52  1 0 1
21.92  59  0 2 0
22.93  31  1 1 1
29.51  41  1 0 3
29.91  59  1 2 1
31.55  100  1 1 3
32.75  31  1 2 2
37.78  81  2 0 0
51.38  28  1 4 2
54.49  27  2 2 4

---

(2)
LaH6S3N3O9: calculated powder diffractogram (Cu Kα X-rays), based on a cell relaxed with GGA-PBE.
Intensities are scaled so that the largest is 100.

Cell: 6.079 9.868 9.874 Å, 60.09 89.37 89.72°
Fractional coordinates of all 44 atoms:
La 0.000 0.000 0.000
La 0.500 0.334 0.333
H 0.019 0.400 0.604
H 0.019 0.605 0.994
H 0.119 0.867 0.554
H 0.374 0.465 0.774
H 0.380 0.770 0.765
H 0.475 0.728 0.344
H 0.518 0.342 0.929
H 0.524 0.929 0.728
H 0.616 0.766 0.467
H 0.875 0.555 0.578
H 0.876 0.574 0.869
H 0.980 0.997 0.400
S 0.001 0.351 0.068
S 0.498 0.984 0.264
S 0.500 0.265 0.752
S 0.500 0.752 0.984
S 0.998 0.580 0.351
S 0.999 0.068 0.580
N 0.011 0.520 0.541
N 0.014 0.541 0.937
N 0.483 0.796 0.396
N 0.512 0.397 0.810
N 0.515 0.810 0.795
N 0.985 0.939 0.519
O 0.001 0.276 0.972
O 0.002 0.971 0.751
O 0.198 0.519 0.319
O 0.199 0.164 0.520
O 0.199 0.320 0.162
O 0.297 0.811 0.020
O 0.299 0.170 0.812
O 0.300 0.015 0.170
O 0.497 0.061 0.359
O 0.500 0.582 0.059
O 0.501 0.360 0.581
O 0.698 0.817 0.014
O 0.699 0.171 0.815
O 0.700 0.019 0.169
O 0.798 0.521 0.315
O 0.799 0.316 0.163
O 0.800 0.162 0.520
O 0.993 0.752 0.277

Peak list (10 most intense, 2θ from 5° to 70°, by angle)
2θ (°)  Rel. int.  index
10.34  100  0 0 1
17.86  23  1 1 0
17.97  27  1 0 -1
23.12  21  1 -1 1
23.29  21  -1 2 1
25.35  26  1 2 2
25.46  26  1 2 0
25.59  26  1 0 -2
29.39  19  2 0 0
31.39  34  -1 3 1